No. 1
Computed PXRD pattern
Compound: Y10Pb4C3
Radiation: copper Kα
Structure: a cell relaxed with GGA-PBE

Cell and atoms:
```
Y10Pb4C3
1.0
-2.4503 2.4503 17.8239
2.4503 -2.4503 17.8239
2.4503 2.4503 -17.8239
Y Pb C
10 4 3
Cartesian
2.4503 0.0000 0.0000
0.0000 0.0000 2.4674
2.4503 0.0000 4.9250
0.0000 0.0000 7.4511
2.4503 0.0000 12.8989
0.0000 2.4503 0.0000
0.0000 2.4503 4.9250
0.0000 0.0000 28.1967
0.0000 2.4503 12.8989
0.0000 0.0000 33.1804
0.0000 0.0000 10.6618
0.0000 0.0000 15.3752
0.0000 0.0000 20.2726
0.0000 0.0000 24.9859
0.0000 0.0000 0.0000
0.0000 0.0000 4.9771
0.0000 0.0000 30.6707
```

Most intense lines, 10 to 90 degrees two-theta, sorted by position:
2θ/deg	I_rel
25.7	21
29.8	34
32.7	100
35.2	21
36.7	57
51.8	28
52.8	20
63.4	19
63.6	30
87.0	17

No. 2
Computed PXRD pattern
Compound: Y5Th3
Radiation: copper Kα
Structure: a cell relaxed with GGA-PBE

Cell and atoms:
```
Y5Th3
1.0
3.5890 0.0000 0.0000
0.0000 5.8262 0.0000
0.0000 0.0000 12.5395
Y Th
5 3
Cartesian
0.0000 0.0000 0.0000
0.0000 0.0000 6.2129
0.0000 2.9131 10.4936
1.7945 0.0000 9.3706
1.7945 2.9131 7.3003
0.0000 2.9131 4.0976
1.7945 0.0000 3.1408
1.7945 2.9131 1.1207
```

Most intense lines, 10 to 90 degrees two-theta, sorted by position:
2θ/deg	I_rel
28.5	12
28.7	25
30.7	39
32.4	52
32.6	100
42.5	17
50.5	19
55.8	22
60.3	23
61.6	16

No. 3
Computed PXRD pattern
Compound: ZnNi14W
Radiation: copper Kα
Structure: a cell relaxed with GGA-PBE

Cell and atoms:
```
ZnNi14W
1.0
5.0556 0.0000 0.0000
0.0000 5.0556 0.0000
0.0000 0.0000 7.0769
Zn Ni W
1 14 1
Cartesian
0.0000 0.0000 0.0000
0.0000 0.0000 3.5384
0.0000 2.5278 0.0000
0.0000 2.5278 3.5384
1.2677 1.2677 1.8028
1.2677 1.2677 5.2741
1.2677 3.7880 1.8028
1.2677 3.7880 5.2741
2.5278 0.0000 0.0000
2.5278 0.0000 3.5384
2.5278 2.5278 3.5384
3.7880 1.2677 1.8028
3.7880 1.2677 5.2741
3.7880 3.7880 1.8028
3.7880 3.7880 5.2741
2.5278 2.5278 0.0000
```

Most intense lines, 10 to 90 degrees two-theta, sorted by position:
2θ/deg	I_rel
12.5	4
17.5	5
21.6	6
24.9	2
28.0	4
44.0	100
51.1	32
51.7	15
75.2	9
75.6	18